Starting from the GGA-PBE geometry in Alexandria, the powder diffraction line list of ErTmAlCd was simulated for CuKα.
No peak broadening, texture or thermal motion is included.

Structure:
Cell: 3.5984 3.5984 7.4134 Å, 90.00 90.00 90.00°
Space group P4mm (No. 99)
Unique sites:
1 Er 0.0000 0.0000 0.0000 (multiplicity 1)
2 Tm 0.0000 0.0000 0.4769 (multiplicity 1)
3 Al 0.5000 0.5000 0.2399 (multiplicity 1)
4 Cd 0.5000 0.5000 0.7360 (multiplicity 1)

Most intense lines, 10 to 90 degrees two-theta, by angle:
- d = 3.598 Å, 2θ = 24.74°, rel. 19, hkl 1 0 0
- d = 2.582 Å, 2θ = 34.75°, rel. 100, hkl 1 0 2
- d = 2.544 Å, 2θ = 35.27°, rel. 49, hkl 1 1 0
- d = 1.799 Å, 2θ = 50.74°, rel. 17, hkl 2 0 0
- d = 1.498 Å, 2θ = 61.94°, rel. 18, hkl 1 1 4
- d = 1.476 Å, 2θ = 62.97°, rel. 35, hkl 2 1 2